Na3MnO3: simulated powder diffraction line list (Cu Kα), based on DFT lattice parameters and positions (GGA+U).
Intensities are scaled so that the largest is 100.

Structural model:
Unit cell a=9.7341 b=9.7341 c=4.3435 alpha=90.00 beta=90.00 gamma=90.00
Sites, in units of the cell vectors:
Na 0.1176 0.3643 0.0000
Na 0.1357 0.6176 0.5000
Na 0.1606 0.1606 0.5000
Na 0.3394 0.6606 0.0000
Na 0.3643 0.1176 0.0000
Na 0.3824 0.8643 0.5000
Na 0.6176 0.1357 0.5000
Na 0.6357 0.8824 0.0000
Na 0.6606 0.3394 0.0000
Na 0.8394 0.8394 0.5000
Na 0.8643 0.3824 0.5000
Na 0.8824 0.6357 0.0000
Mn 0.1093 0.8907 0.0000
Mn 0.3907 0.3907 0.5000
Mn 0.6093 0.6093 0.5000
Mn 0.8907 0.1093 0.0000
O 0.0942 0.0942 0.0000
O 0.1050 0.6963 0.0000
O 0.1963 0.3950 0.5000
O 0.3037 0.8950 0.0000
O 0.3950 0.1963 0.5000
O 0.4058 0.5942 0.5000
O 0.5942 0.4058 0.5000
O 0.6050 0.8037 0.5000
O 0.6963 0.1050 0.0000
O 0.8037 0.6050 0.5000
O 0.8950 0.3037 0.0000
O 0.9058 0.9058 0.0000

Most intense lines, 2θ from 15° to 90°, in order of falling intensity:
- (1 0 1), 2θ 22.41, I = 100.0
- (2 2 1), 2θ 33.21, I = 92.0
- (4 0 0), 2θ 36.94, I = 80.4
- (0 0 2), 2θ 41.58, I = 47.3
- (5 0 1), 2θ 51.44, I = 41.4
- (4 0 2), 2θ 56.82, I = 40.1
- (6 2 1), 2θ 64.20, I = 30.8
- (1 1 1), 2θ 24.23, I = 24.5
- (5 4 1), 2θ 65.00, I = 22.2
- (4 4 0), 2θ 53.23, I = 15.2
- (4 1 1), 2θ 43.64, I = 14.9
- (4 4 2), 2θ 69.72, I = 12.3